For ErAl8Cr4, a cell relaxed with PBE gives the simulated powder X-ray diffraction pattern in this record (Cu Kα (λ = 1.5418 Å)).

Crystal structure
Cell lengths 6.775, 6.775, 6.775 Å; angles 98.03, 98.03, 136.12 degrees
Atoms (fractional coordinates):
Er 0.000 0.000 0.000
Al 0.000 0.335 0.335
Al 0.000 0.665 0.665
Al 0.278 0.500 0.778
Al 0.335 0.000 0.335
Al 0.500 0.278 0.778
Al 0.500 0.722 0.222
Al 0.665 0.000 0.665
Al 0.722 0.500 0.222
Cr 0.000 0.000 0.500
Cr 0.000 0.500 0.000
Cr 0.500 0.000 0.000
Cr 0.500 0.500 0.500

Largest 10 diffraction maxima, by angle, 5 to 70 degrees two-theta:
d [Å]  2θ (°)  I/Imax
6.284  14.09  65
4.399  20.19  58
3.142  28.41  42
3.126  28.55  74
2.810  31.84  36
2.557  35.10  56
2.222  40.61  76
2.216  40.71  90
2.200  41.03  100
1.563  59.10  37

=====

For Y6Mn23, a cell relaxed with PBE gives the simulated powder X-ray diffraction pattern in this record (Cu Kα (λ = 1.5418 Å)).

Crystal structure
Cell lengths 8.548, 8.548, 8.548 Å; angles 60.00, 60.00, 60.00 degrees
Atoms (fractional coordinates):
Y 0.205 0.205 0.795
Y 0.205 0.795 0.205
Y 0.205 0.795 0.795
Y 0.795 0.205 0.205
Y 0.795 0.205 0.795
Y 0.795 0.795 0.205
Mn 0.000 0.000 0.500
Mn 0.000 0.500 0.000
Mn 0.000 0.500 0.500
Mn 0.134 0.622 0.622
Mn 0.178 0.178 0.178
Mn 0.178 0.178 0.466
Mn 0.178 0.466 0.178
Mn 0.378 0.378 0.378
Mn 0.378 0.378 0.866
Mn 0.378 0.866 0.378
Mn 0.466 0.178 0.178
Mn 0.500 0.000 0.000
Mn 0.500 0.000 0.500
Mn 0.500 0.500 0.000
Mn 0.500 0.500 0.500
Mn 0.534 0.822 0.822
Mn 0.622 0.134 0.622
Mn 0.622 0.622 0.134
Mn 0.622 0.622 0.622
Mn 0.822 0.534 0.822
Mn 0.822 0.822 0.534
Mn 0.822 0.822 0.822
Mn 0.866 0.378 0.378

Largest 10 diffraction maxima, by angle, 5 to 70 degrees two-theta:
d [Å]  2θ (°)  I/Imax
2.773  32.28  16
2.468  36.41  23
2.326  38.71  73
2.137  42.29  100
2.043  44.33  18
2.015  45.00  14
1.693  54.19  10
1.477  62.93  15
1.425  65.52  19
1.396  67.05  10

=====

For Tb2SeO2, a cell relaxed with PBE gives the simulated powder X-ray diffraction pattern in this record (Cu Kα (λ = 1.5418 Å)).

Crystal structure
Cell lengths 3.874, 3.874, 6.871 Å; angles 90.00, 90.00, 120.00 degrees
Atoms (fractional coordinates):
Tb 0.333 0.667 0.291
Tb 0.667 0.333 0.709
Se 0.000 0.000 0.000
O 0.333 0.667 0.626
O 0.667 0.333 0.374

Largest 10 diffraction maxima, by angle, 5 to 70 degrees two-theta:
d [Å]  2θ (°)  I/Imax
3.436  25.93  12
3.015  29.63  100
2.400  37.47  41
2.290  39.34  11
1.937  46.91  33
1.892  48.10  16
1.629  56.47  17
1.529  60.56  9
1.507  61.52  10
1.479  62.84  15

=====

For Mo2C, a cell relaxed with PBE gives the simulated powder X-ray diffraction pattern in this record (Cu Kα (λ = 1.5418 Å)).

Crystal structure
Cell lengths 4.754, 6.076, 5.241 Å; angles 90.00, 90.00, 90.00 degrees
Atoms (fractional coordinates):
Mo 0.246 0.123 0.079
Mo 0.246 0.877 0.579
Mo 0.254 0.377 0.579
Mo 0.254 0.623 0.079
Mo 0.746 0.377 0.921
Mo 0.746 0.623 0.421
Mo 0.754 0.123 0.421
Mo 0.754 0.877 0.921
C 0.000 0.377 0.250
C 0.000 0.623 0.750
C 0.500 0.123 0.750
C 0.500 0.877 0.250

Largest 9 diffraction maxima, by angle, 5 to 70 degrees two-theta:
d [Å]  2θ (°)  I/Imax
3.046  29.32  1
2.629  34.11  12
2.621  34.21  8
2.377  37.85  22
2.299  39.19  100
1.762  51.89  17
1.519  60.99  6
1.515  61.19  12
1.357  69.25  18

=====

For DyUTe4, a cell relaxed with PBE gives the simulated powder X-ray diffraction pattern in this record (Cu Kα (λ = 1.5418 Å)).

Crystal structure
Cell lengths 4.200, 6.127, 14.121 Å; angles 90.00, 90.00, 90.00 degrees
Atoms (fractional coordinates):
Dy 0.000 0.000 0.000
Dy 0.500 0.500 0.500
U 0.000 0.000 0.275
U 0.500 0.500 0.775
Te 0.000 0.252 0.640
Te 0.000 0.500 0.342
Te 0.000 0.500 0.933
Te 0.000 0.748 0.640
Te 0.500 0.000 0.433
Te 0.500 0.000 0.842
Te 0.500 0.248 0.140
Te 0.500 0.752 0.140

Largest 10 diffraction maxima, by angle, 5 to 70 degrees two-theta:
d [Å]  2θ (°)  I/Imax
5.620  15.77  24
3.134  28.48  100
2.810  31.84  35
2.565  34.99  15
2.473  36.33  40
2.438  36.87  56
2.314  38.93  20
2.100  43.08  22
1.916  47.45  15
1.376  68.14  17